Calculated XRD peak list of Ac5Nd2DyY for Cu Kα (λ = 1.5418 Å), from a DFT-relaxed cell (PBE, Alexandria).
Lines closer than 0.1° are merged.

Crystal structure
Unit cell a=5.830 b=22.711 c=11.093 alpha=90.00 beta=90.00 gamma=90.00
Space group Cmcm (No. 63)
One atom of each set of equivalent atoms:
Ac 0.000 0.000 0.000 [4 per cell]
Ac 0.000 0.131 0.250 [4 per cell]
Ac 0.000 0.219 0.564 [8 per cell]
Ac 0.000 0.498 0.250 [4 per cell]
Nd 0.000 0.386 0.506 [8 per cell]
Dy 0.000 0.303 0.250 [4 per cell]
Y 0.000 0.099 0.750 [4 per cell]

Largest 10 diffraction maxima, sorted by position, 15 to 90 degrees two-theta:
two_theta, d (Å), intensity
24.85, 3.583, 14
25.09, 3.549, 20
28.86, 3.094, 30
29.68, 3.010, 100
30.67, 2.915, 35
32.28, 2.773, 16
45.13, 2.009, 13
53.39, 1.716, 13
53.91, 1.701, 19
57.56, 1.601, 12